Entry 1:
This entry pairs a crystal structure of Cd2AsPd5 with its computed powder XRD pattern. Radiation: Cu Kα. Structure: a crystal structure in Alexandria, relaxed with GGA-PBE.
Neutral-atom scattering factors, no anomalous dispersion.

Structure:
a = 5.9043 Å, b = 5.9043 Å, c = 4.6158 Å
α = 90.00°, β = 90.00°, γ = 90.00°
Space group P4/mmm (No. 123)
Asymmetric unit:
Cd: 0.0000 0.5000 0.0000 [2 per cell]
As: 0.0000 0.0000 0.5000 [1 per cell]
Pd: 0.0000 0.0000 0.0000 [1 per cell]
Pd: 0.2773 0.2773 0.5000 [4 per cell]

The 6 most intense peaks (10 to 80 degrees two-theta), by angle:
d (Å), I_rel
3.096, 18
2.641, 17
2.487, 100
2.308, 32
2.087, 42
1.548, 32



Entry 2:
This entry pairs a crystal structure of In2W with its computed powder XRD pattern. Radiation: Cu Kα. Structure: a crystal structure in Alexandria, relaxed with GGA-PBE.
Neutral-atom scattering factors, no anomalous dispersion.

Structure:
a = 3.2193 Å, b = 3.2302 Å, c = 13.1196 Å
α = 89.35°, β = 89.93°, γ = 89.99°
Space group P-1 (No. 2)
Asymmetric unit:
In: 0.2483 0.2303 0.1999 [2 per cell]
In: 0.2491 0.7446 0.4066 [2 per cell]
W: 0.2507 0.2745 0.9482 [2 per cell]

The 6 most intense peaks (10 to 80 degrees two-theta), by angle:
d (Å), I_rel
6.559, 43
2.612, 49
2.584, 66
2.297, 100
2.250, 72
2.243, 55



Entry 3:
This entry pairs a crystal structure of HoScB2O6 with its computed powder XRD pattern. Radiation: Cu Kα. Structure: a crystal structure in Alexandria, relaxed with GGA-PBE.
Neutral-atom scattering factors, no anomalous dispersion.

Structure:
a = 4.8962 Å, b = 4.8962 Å, c = 16.0461 Å
α = 90.00°, β = 90.00°, γ = 120.00°
Space group R-3 (No. 148, hexagonal axes)
Asymmetric unit:
Ho: 0.0000 0.0000 0.0000 [3 per cell]
Sc: 0.0000 0.0000 0.5000 [3 per cell]
B: 0.0000 0.0000 0.2455 [6 per cell]
O: 0.0173 0.2916 0.2468 [18 per cell]

The 6 most intense peaks (10 to 80 degrees two-theta), by angle:
d (Å), I_rel
4.099, 49
3.749, 90
2.914, 100
2.448, 33
2.226, 31
1.806, 44



Entry 4:
This entry pairs a crystal structure of Rb2Te3As with its computed powder XRD pattern. Radiation: Cu Kα. Structure: a crystal structure in Alexandria, relaxed with GGA-PBE.
Neutral-atom scattering factors, no anomalous dispersion.

Structure:
a = 14.6586 Å, b = 10.3422 Å, c = 6.5976 Å
α = 90.00°, β = 90.00°, γ = 90.00°
Space group Cmcm (No. 63)
Asymmetric unit:
Rb: 0.1442 0.1682 0.2500 [8 per cell]
Te: 0.0000 0.1461 0.7500 [4 per cell]
Te: 0.1511 0.5000 0.0000 [8 per cell]
As: 0.0000 0.4008 0.7500 [4 per cell]

The 6 most intense peaks (10 to 80 degrees two-theta), by angle:
d (Å), I_rel
3.671, 100
3.356, 55
3.073, 32
2.781, 34
2.643, 45
2.442, 37



Entry 5:
This entry pairs a crystal structure of NaInHgBr3 with its computed powder XRD pattern. Radiation: Cu Kα. Structure: a crystal structure in Alexandria, relaxed with GGA-PBE.
Neutral-atom scattering factors, no anomalous dispersion.

Structure:
a = 18.5877 Å, b = 5.5338 Å, c = 9.5643 Å
α = 90.00°, β = 111.79°, γ = 90.00°
Space group C2/m (No. 12)
Asymmetric unit:
Na: 0.2236 0.0000 0.3320 [4 per cell]
In: 0.0497 0.5000 0.3332 [4 per cell]
Hg: 0.1906 0.0000 0.9661 [4 per cell]
Br: 0.0387 0.0000 0.2669 [4 per cell]
Br: 0.1089 0.5000 0.6415 [4 per cell]
Br: 0.2048 0.5000 0.3282 [4 per cell]

The 6 most intense peaks (10 to 80 degrees two-theta), by angle:
d (Å), I_rel
5.285, 72
4.726, 94
4.322, 96
3.093, 96
2.962, 95
2.767, 100



Entry 6:
This entry pairs a crystal structure of ScSiPd6 with its computed powder XRD pattern. Radiation: Cu Kα. Structure: a crystal structure in Alexandria, relaxed with GGA-PBE.
Neutral-atom scattering factors, no anomalous dispersion.

Structure:
a = 5.4432 Å, b = 5.4432 Å, c = 17.8467 Å
α = 90.00°, β = 90.00°, γ = 120.00°
Space group R-3m (No. 166, hexagonal axes)
Asymmetric unit:
Sc: 0.0000 0.0000 0.0000 [3 per cell]
Si: 0.0000 0.0000 0.5000 [3 per cell]
Pd: 0.0088 0.5044 0.9255 [18 per cell]

The 6 most intense peaks (10 to 80 degrees two-theta), by angle:
d (Å), I_rel
4.558, 46
2.974, 54
2.337, 100
2.279, 55
1.967, 32
1.731, 44



Entry 7:
This entry pairs a crystal structure of Zr2Ti3 with its computed powder XRD pattern. Radiation: Cu Kα. Structure: a crystal structure in Alexandria, relaxed with GGA-PBE.
Neutral-atom scattering factors, no anomalous dispersion.

Structure:
a = 5.7681 Å, b = 5.7681 Å, c = 10.8678 Å
α = 90.00°, β = 90.00°, γ = 120.00°
Space group R-3m (No. 166, hexagonal axes)
Asymmetric unit:
Zr: 0.0000 0.0000 0.1229 [6 per cell]
Ti: 0.0000 0.5000 0.0000 [9 per cell]

The 6 most intense peaks (10 to 80 degrees two-theta), by angle:
d (Å), I_rel
4.539, 50
2.884, 41
2.434, 100
2.387, 68
2.256, 63
1.550, 33



Entry 8:
This entry pairs a crystal structure of FeSiHgBiPt with its computed powder XRD pattern. Radiation: Cu Kα. Structure: a crystal structure in Alexandria, relaxed with GGA-PBE.
Neutral-atom scattering factors, no anomalous dispersion.

Structure:
a = 3.9461 Å, b = 3.9461 Å, c = 22.7071 Å
α = 90.00°, β = 90.00°, γ = 120.00°
Space group R3m (No. 160, hexagonal axes)
Asymmetric unit:
Fe: 0.0000 0.0000 0.0000 [3 per cell]
Si: 0.0000 0.0000 0.3614 [3 per cell]
Hg: 0.0000 0.0000 0.5884 [3 per cell]
Bi: 0.0000 0.0000 0.1474 [3 per cell]
Pt: 0.0000 0.0000 0.7362 [3 per cell]

The 6 most intense peaks (10 to 80 degrees two-theta), by angle:
d (Å), I_rel
3.272, 98
2.731, 100
2.353, 91
1.973, 73
1.555, 29
1.200, 31



Entry 9:
This entry pairs a crystal structure of NpZn2CdAu2 with its computed powder XRD pattern. Radiation: Cu Kα. Structure: a crystal structure in Alexandria, relaxed with GGA-PBE.
Neutral-atom scattering factors, no anomalous dispersion.

Structure:
a = 4.5695 Å, b = 4.5695 Å, c = 6.6905 Å
α = 90.00°, β = 90.00°, γ = 120.00°
Space group P-3m1 (No. 164)
Asymmetric unit:
Np: 0.0000 0.0000 0.0000 [1 per cell]
Zn: 0.3333 0.6667 0.7170 [2 per cell]
Cd: 0.0000 0.0000 0.5000 [1 per cell]
Au: 0.3333 0.6667 0.2515 [2 per cell]

The 6 most intense peaks (10 to 80 degrees two-theta), by angle:
d (Å), I_rel
3.406, 37
2.555, 100
2.285, 77
1.703, 30
1.365, 28
1.350, 26



Entry 10:
This entry pairs a crystal structure of Ac2Ga6Ge3 with its computed powder XRD pattern. Radiation: Cu Kα. Structure: a crystal structure in Alexandria, relaxed with GGA-PBE.
Neutral-atom scattering factors, no anomalous dispersion.

Structure:
a = 8.2231 Å, b = 8.2231 Å, c = 4.3136 Å
α = 90.00°, β = 90.00°, γ = 120.00°
Space group P-62m (No. 189)
Asymmetric unit:
Ac: 0.3333 0.6667 0.0000 [2 per cell]
Ga: 0.0000 0.2714 0.5000 [3 per cell]
Ga: 0.0000 0.8076 0.0000 [3 per cell]
Ge: 0.0000 0.5926 0.5000 [3 per cell]

The 6 most intense peaks (10 to 80 degrees two-theta), by angle:
d (Å), I_rel
2.976, 100
2.746, 21
2.692, 30
2.374, 26
2.284, 48
1.462, 21



Entry 11:
This entry pairs a crystal structure of Na2Pa2S5 with its computed powder XRD pattern. Radiation: Cu Kα. Structure: a crystal structure in Alexandria, relaxed with GGA-PBE.
Neutral-atom scattering factors, no anomalous dispersion.

Structure:
a = 5.5108 Å, b = 16.4883 Å, c = 5.4638 Å
α = 90.00°, β = 90.00°, γ = 90.00°
Space group Cmmm (No. 65)
Asymmetric unit:
Na: 0.0000 0.1584 0.0000 [4 per cell]
Pa: 0.0000 0.3418 0.5000 [4 per cell]
S: 0.0000 0.1723 0.5000 [4 per cell]
S: 0.0000 0.3387 0.0000 [4 per cell]
S: 0.0000 0.5000 0.5000 [2 per cell]

The 6 most intense peaks (10 to 80 degrees two-theta), by angle:
d (Å), I_rel
8.244, 75
5.464, 100
5.227, 64
3.892, 62
2.752, 85
1.939, 60